Starting from the PBE geometry in OQMD, the powder XRD pattern of Te2WSeSBr was calculated for CuKα.

Cell and atoms:
```
Te2WSeSBr
1.0
6.585 0.000 0.000
-1.053 8.340 0.000
-2.263 -4.422 6.907
Te W Se S Br
4 2 2 2 2
Direct
0.044 0.261 0.005 Te
0.123 0.102 0.310 Te
0.877 0.898 0.690 Te
0.956 0.739 0.995 Te
0.286 0.000 0.000 W
0.714 0.000 0.000 W
0.378 0.699 0.785 Se
0.622 0.301 0.215 Se
0.479 0.147 0.874 S
0.521 0.853 0.126 S
0.240 0.629 0.416 Br
0.760 0.371 0.584 Br
```

Peak list (12 most intense, 15 to 90 degrees two-theta, low angle first)
- (2 0 -1), d = 3.259 Å, 27.37 deg, I = 67
- (1 2 -2), d = 3.237 Å, 27.55 deg, I = 57
- (1 -2 2), d = 3.002 Å, 29.76 deg, I = 79
- (-1 2 1), d = 2.800 Å, 31.96 deg, I = 76
- (1 2 0), d = 2.708 Å, 33.08 deg, I = 100
- (1 2 -3), d = 2.692 Å, 33.28 deg, I = 63
- (2 -2 1), d = 2.616 Å, 34.28 deg, I = 92
- (2 1 0), d = 2.519 Å, 35.65 deg, I = 70
- (0 0 3), d = 2.302 Å, 39.13 deg, I = 59
- (2 2 -3), d = 2.269 Å, 39.72 deg, I = 89
- (0 4 -1), d = 1.975 Å, 45.96 deg, I = 88
- (-4 1 1), d = 1.641 Å, 56.02 deg, I = 71